# 1
Simulated powder diffraction line list of Ta2InCo2Sb for Cu Kα X-rays, from DFT lattice parameters and positions (GGA-PBE).
No peak broadening, texture or thermal motion is included.

Main lines, sorted by position (2θ from 5° to 70°):
2θ (°)  d_spacing  I/Imax
26.0  3.433  15
30.1  2.973  57
43.0  2.102  100
50.9  1.793  7
53.4  1.717  16
62.5  1.487  16
68.8  1.364  3

Cell and atoms:
```
Ta2InCo2Sb
1.0
-2.973 2.973 5.946
2.973 -2.973 5.946
2.973 2.973 -5.946
Ta In Co Sb
4 2 4 2
Direct
0.247 0.247 0.000 Ta
0.503 0.003 0.500 Ta
0.753 0.753 0.000 Ta
0.997 0.497 0.500 Ta
0.000 0.000 0.000 In
0.750 0.250 0.500 In
0.137 0.625 0.012 Co
0.375 0.387 0.512 Co
0.613 0.125 0.988 Co
0.875 0.863 0.488 Co
0.250 0.750 0.500 Sb
0.500 0.500 0.000 Sb
```



# 2
Simulated powder diffraction line list of HoZr2 for Cu Kα X-rays, from DFT lattice parameters and positions (GGA-PBE).
No peak broadening, texture or thermal motion is included.

Main lines, sorted by position (2θ from 5° to 70°):
2θ (°)  d_spacing  I/Imax
30.9  2.894  24
34.1  2.632  25
35.4  2.536  100
46.7  1.947  15
54.9  1.672  12
61.8  1.500  19
66.2  1.411  14
67.2  1.394  10

Cell and atoms:
```
HoZr2
1.0
5.263 0.000 0.000
0.000 10.006 0.000
0.000 0.000 5.798
Ho Zr
4 8
Direct
0.250 0.085 0.089 Ho
0.250 0.415 0.089 Ho
0.750 0.585 0.911 Ho
0.750 0.915 0.911 Ho
0.250 0.250 0.589 Zr
0.250 0.590 0.570 Zr
0.250 0.750 0.100 Zr
0.250 0.910 0.570 Zr
0.750 0.090 0.430 Zr
0.750 0.250 0.900 Zr
0.750 0.410 0.430 Zr
0.750 0.750 0.411 Zr
```



# 3
Simulated powder diffraction line list of Ba3B3Pd2 for Cu Kα X-rays, from DFT lattice parameters and positions (GGA-PBE).
No peak broadening, texture or thermal motion is included.

Main lines, sorted by position (2θ from 5° to 70°):
2θ (°)  d_spacing  I/Imax
6.6  13.416  100
20.8  4.274  94
26.6  3.354  49
28.9  3.090  49
30.3  2.948  38
32.5  2.756  36
35.9  2.504  83
42.3  2.137  40

Cell and atoms:
```
Ba3B3Pd2
1.0
4.274 0.000 0.000
0.000 4.274 0.000
0.000 0.000 13.416
Ba B Pd
3 3 2
Direct
0.000 0.000 0.000 Ba
0.000 0.000 0.288 Ba
0.000 0.000 0.712 Ba
0.000 0.000 0.500 B
0.500 0.500 0.000 B
0.500 0.500 0.500 B
0.000 0.500 0.500 Pd
0.500 0.000 0.500 Pd
```



What did the third record say?
Simulated powder diffraction line list of Ba3B3Pd2 for Cu Kα X-rays, from DFT lattice parameters and positions (GGA-PBE).
No peak broadening, texture or thermal motion is included.

Main lines, sorted by position (2θ from 5° to 70°):
2θ (°)  d_spacing  I/Imax
6.6  13.416  100
20.8  4.274  94
26.6  3.354  49
28.9  3.090  49
30.3  2.948  38
32.5  2.756  36
35.9  2.504  83
42.3  2.137  40

Cell and atoms:
```
Ba3B3Pd2
1.0
4.274 0.000 0.000
0.000 4.274 0.000
0.000 0.000 13.416
Ba B Pd
3 3 2
Direct
0.000 0.000 0.000 Ba
0.000 0.000 0.288 Ba
0.000 0.000 0.712 Ba
0.000 0.000 0.500 B
0.500 0.500 0.000 B
0.500 0.500 0.500 B
0.000 0.500 0.500 Pd
0.500 0.000 0.500 Pd
```